Structure and theoretical powder XRD pattern of CrIr2 (a GGA-PBE-relaxed structure; Cu Kα, 1.54184 Å).

Principal peaks in the range 2θ = 5–70°, sorted by position:
| 2θ/deg | I/Imax | h k l |
| --- | --- | --- |
| 24.3 | 27 | 0 2 1 |
| 25.4 | 13 | 0 4 0 |
| 38.3 | 23 | 1 3 0 |
| 38.6 | 13 | 0 6 0 |
| 42.2 | 37 | 0 0 2 |
| 44.0 | 100 | 1 3 1 |
| 44.2 | 47 | 0 6 1 |
| 58.3 | 14 | 1 3 2 |
| 69.1 | 9 | 2 0 0 |
| 69.6 | 17 | 1 9 0 |

Structure:
a b c (Å): 2.7184 14.0077 4.2866
angles (deg): 90.00 90.00 90.00
Space group Cmcm (No. 63)
Inequivalent atoms, fractional coordinates:
Cr: 0.0000 0.1112 0.2500 x4
Ir: 0.0000 0.2239 0.7500 x4
Ir: 0.0000 0.4444 0.2500 x4